# 1
This entry pairs a crystal structure of Tb7Pm4Th with its theoretical powder XRD pattern. Radiation: Cu Kα (weighted mean of Kα1 and Kα2). Structure: DFT lattice parameters and positions (GGA-PBE).

The 6 most intense peaks (10° ≤ 2θ ≤ 80°), in order of rising 2θ:
- 30.45 deg, d 2.935, I 100
- 30.57 deg, d 2.924, I 33
- 35.34 deg, d 2.540, I 67
- 50.77 deg, d 1.798, I 24
- 50.93 deg, d 1.793, I 24
- 60.41 deg, d 1.532, I 43

Structural model:
```
Tb7Pm4Th
1.0
3.597 0.000 0.000
-1.798 3.115 0.000
0.000 0.000 35.088
Tb Pm Th
7 4 1
Cartesian
0.000 0.000 0.000 Tb
0.000 0.000 8.785 Tb
0.000 0.000 26.303 Tb
0.000 2.077 5.888 Tb
0.000 2.077 14.727 Tb
1.798 1.038 20.360 Tb
1.798 1.038 29.200 Tb
0.000 2.077 23.383 Pm
0.000 2.077 32.146 Pm
1.798 1.038 2.942 Pm
1.798 1.038 11.705 Pm
0.000 0.000 17.544 Th
```

---

# 2
This entry pairs a crystal structure of Tb6PmTh4 with its theoretical powder XRD pattern. Radiation: Cu Kα (weighted mean of Kα1 and Kα2). Structure: DFT lattice parameters and positions (GGA-PBE).

The 6 most intense peaks (10° ≤ 2θ ≤ 80°), in order of rising 2θ:
- 26.92 deg, d 3.312, I 29
- 30.32 deg, d 2.948, I 59
- 31.42 deg, d 2.847, I 100
- 33.66 deg, d 2.663, I 39
- 36.26 deg, d 2.477, I 45
- 63.04 deg, d 1.475, I 35

Structural model:
```
Tb6PmTh4
1.0
-1.724 2.948 17.882
1.724 -2.948 17.882
1.724 2.948 -17.882
Tb Pm Th
6 1 4
Cartesian
0.000 0.000 3.452 Tb
0.000 0.000 9.564 Tb
0.000 0.000 13.180 Tb
0.000 0.000 22.585 Tb
0.000 0.000 26.201 Tb
0.000 0.000 32.313 Tb
1.724 0.000 0.000 Pm
1.724 0.000 6.530 Th
1.724 0.000 16.305 Th
0.000 2.948 1.578 Th
0.000 2.948 11.352 Th
```

---

# 3
This entry pairs a crystal structure of Tb6Pm5Th with its theoretical powder XRD pattern. Radiation: Cu Kα (weighted mean of Kα1 and Kα2). Structure: DFT lattice parameters and positions (GGA-PBE).

The 6 most intense peaks (10° ≤ 2θ ≤ 80°), in order of rising 2θ:
- 30.41 deg, d 2.939, I 100
- 35.18 deg, d 2.551, I 34
- 35.42 deg, d 2.534, I 17
- 50.78 deg, d 1.798, I 24
- 60.19 deg, d 1.537, I 29
- 60.51 deg, d 1.530, I 14

Structural model:
```
Tb6Pm5Th
1.0
-2.551 5.068 7.653
2.551 -5.068 7.653
2.551 5.068 -7.653
Tb Pm Th
6 5 1
Cartesian
2.551 2.510 -2.524 Tb
0.000 2.482 0.000 Tb
2.551 2.510 2.524 Tb
0.000 2.559 5.129 Tb
0.000 7.655 0.000 Tb
0.000 2.559 10.178 Tb
0.000 0.000 2.523 Pm
2.551 0.000 5.112 Pm
0.000 0.000 7.653 Pm
0.000 5.068 2.541 Pm
0.000 0.000 12.783 Pm
2.551 0.000 0.000 Th
```

---

# 4
This entry pairs a crystal structure of TbPmTh3 with its theoretical powder XRD pattern. Radiation: Cu Kα (weighted mean of Kα1 and Kα2). Structure: DFT lattice parameters and positions (GGA-PBE).

The 6 most intense peaks (10° ≤ 2θ ≤ 80°), in order of rising 2θ:
- 14.95 deg, d 5.926, I 45
- 24.37 deg, d 3.653, I 41
- 30.16 deg, d 2.963, I 64
- 30.72 deg, d 2.911, I 49
- 33.43 deg, d 2.681, I 91
- 34.32 deg, d 2.613, I 100

Structural model:
```
TbPmTh3
1.0
-4.990 5.926 3.006
4.990 -5.926 3.006
4.990 5.926 -3.006
Tb Pm Th
2 2 6
Cartesian
0.000 2.963 1.179 Tb
4.990 2.963 1.827 Tb
2.495 2.963 -1.503 Pm
2.495 -2.963 1.503 Pm
1.689 0.000 0.000 Th
4.990 0.000 0.000 Th
8.291 0.000 0.000 Th
1.689 5.926 0.000 Th
0.000 0.000 3.006 Th
3.301 0.000 3.006 Th
```

---

# 5
This entry pairs a crystal structure of Tb4Pm2Th with its theoretical powder XRD pattern. Radiation: Cu Kα (weighted mean of Kα1 and Kα2). Structure: DFT lattice parameters and positions (GGA-PBE).

The 6 most intense peaks (10° ≤ 2θ ≤ 80°), in order of rising 2θ:
- 28.56 deg, d 3.125, I 37
- 30.77 deg, d 2.906, I 54
- 32.14 deg, d 2.785, I 100
- 32.86 deg, d 2.726, I 97
- 50.51 deg, d 1.807, I 41
- 60.37 deg, d 1.533, I 33

Structural model:
```
Tb4Pm2Th
1.0
6.265 0.000 0.000
0.000 3.611 0.000
-2.151 0.000 20.344
Tb Pm Th
8 4 2
Cartesian
0.000 0.000 0.000 Tb
-1.087 1.805 11.617 Tb
1.005 1.805 14.477 Tb
2.082 0.000 5.832 Tb
3.132 1.805 0.000 Tb
2.045 0.000 11.617 Tb
4.138 0.000 14.477 Tb
5.214 1.805 5.832 Tb
-1.071 1.805 17.421 Pm
1.021 1.805 2.900 Pm
2.062 0.000 17.421 Pm
4.153 0.000 2.900 Pm
0.989 1.805 8.721 Th
4.121 0.000 8.721 Th
```

---

# 6
This entry pairs a crystal structure of Tb2PmTh6 with its theoretical powder XRD pattern. Radiation: Cu Kα (weighted mean of Kα1 and Kα2). Structure: DFT lattice parameters and positions (GGA-PBE).

The 6 most intense peaks (10° ≤ 2θ ≤ 80°), in order of rising 2θ:
- 29.08 deg, d 3.071, I 53
- 29.71 deg, d 3.007, I 60
- 32.01 deg, d 2.796, I 79
- 33.55 deg, d 2.671, I 100
- 51.55 deg, d 1.773, I 42
- 60.64 deg, d 1.527, I 50

Structural model:
```
Tb2PmTh6
1.0
3.546 0.000 0.000
-1.773 3.071 0.000
0.000 0.000 27.067
Tb Pm Th
2 1 6
Cartesian
0.000 0.000 4.594 Tb
0.000 0.000 22.474 Tb
0.000 2.047 13.534 Pm
0.000 0.000 10.494 Th
0.000 0.000 16.573 Th
0.000 2.047 1.659 Th
0.000 2.047 7.566 Th
0.000 2.047 19.501 Th
0.000 2.047 25.408 Th
```

---

# 7
This entry pairs a crystal structure of TbPm3Th2 with its theoretical powder XRD pattern. Radiation: Cu Kα (weighted mean of Kα1 and Kα2). Structure: DFT lattice parameters and positions (GGA-PBE).

The 6 most intense peaks (10° ≤ 2θ ≤ 80°), in order of rising 2θ:
- 30.30 deg, d 2.950, I 100
- 30.43 deg, d 2.937, I 33
- 35.12 deg, d 2.555, I 46
- 35.25 deg, d 2.546, I 22
- 50.57 deg, d 1.805, I 24
- 60.00 deg, d 1.542, I 20

Structural model:
```
TbPm3Th2
1.0
10.184 0.000 0.000
0.000 3.620 0.000
-0.044 0.000 10.819
Tb Pm Th
2 6 4
Cartesian
1.260 0.905 2.705 Tb
8.880 2.715 8.114 Tb
1.329 0.905 6.310 Pm
3.700 2.715 0.900 Pm
3.797 2.715 8.112 Pm
6.343 0.905 2.707 Pm
6.440 0.905 9.919 Pm
8.811 2.715 4.509 Pm
1.153 0.905 9.937 Th
3.845 2.715 4.525 Th
6.294 0.905 6.294 Th
8.987 2.715 0.882 Th
```

---

# 8
This entry pairs a crystal structure of Tb7Pm2Th with its theoretical powder XRD pattern. Radiation: Cu Kα (weighted mean of Kα1 and Kα2). Structure: DFT lattice parameters and positions (GGA-PBE).

The 6 most intense peaks (10° ≤ 2θ ≤ 80°), in order of rising 2θ:
- 29.22 deg, d 3.057, I 46
- 29.77 deg, d 3.001, I 66
- 31.01 deg, d 2.884, I 71
- 31.78 deg, d 2.815, I 37
- 32.92 deg, d 2.721, I 74
- 33.02 deg, d 2.713, I 100

Structural model:
```
Tb7Pm2Th
1.0
3.301 -14.420 0.000
3.301 14.420 0.000
0.000 0.000 3.474
Tb Pm Th
7 2 1
Cartesian
0.000 0.000 0.000 Tb
1.687 2.809 0.000 Tb
3.301 5.390 1.737 Tb
1.687 -2.809 0.000 Tb
4.915 2.809 0.000 Tb
3.301 -5.390 1.737 Tb
4.915 -2.809 0.000 Tb
3.301 8.511 0.000 Pm
3.301 -8.511 0.000 Pm
3.301 0.000 1.737 Th
```

---

# 9
This entry pairs a crystal structure of Tb4Pm8Th with its theoretical powder XRD pattern. Radiation: Cu Kα (weighted mean of Kα1 and Kα2). Structure: DFT lattice parameters and positions (GGA-PBE).

The 6 most intense peaks (10° ≤ 2θ ≤ 80°), in order of rising 2θ:
- 28.36 deg, d 3.147, I 21
- 30.65 deg, d 2.917, I 100
- 32.11 deg, d 2.788, I 27
- 37.88 deg, d 2.375, I 32
- 49.29 deg, d 1.849, I 27
- 57.84 deg, d 1.594, I 14

Structural model:
```
Tb4Pm8Th
1.0
3.698 2.135 9.440
-3.698 2.135 9.440
0.000 -4.270 9.440
Tb Pm Th
4 8 1
Cartesian
0.000 0.000 0.000 Tb
-1.849 -1.067 9.440 Tb
-1.849 1.067 18.880 Tb
0.000 2.135 9.440 Tb
-2.046 -1.181 16.093 Pm
0.000 0.000 6.093 Pm
0.000 -2.362 12.228 Pm
-2.046 1.181 12.228 Pm
2.046 -1.181 16.093 Pm
0.000 2.362 16.093 Pm
0.000 0.000 22.227 Pm
2.046 1.181 12.228 Pm
0.000 0.000 14.160 Th
```

---

# 10
This entry pairs a crystal structure of Tb5PmTh with its theoretical powder XRD pattern. Radiation: Cu Kα (weighted mean of Kα1 and Kα2). Structure: DFT lattice parameters and positions (GGA-PBE).

The 6 most intense peaks (10° ≤ 2θ ≤ 80°), in order of rising 2θ:
- 13.13 deg, d 6.743, I 14
- 31.66 deg, d 2.826, I 100
- 32.61 deg, d 2.746, I 16
- 34.60 deg, d 2.592, I 19
- 48.28 deg, d 1.885, I 11
- 60.17 deg, d 1.538, I 16

Structural model:
```
Tb5PmTh
1.0
-5.185 5.492 4.271
5.185 -5.492 4.271
5.185 5.492 -4.271
Tb Pm Th
10 2 2
Cartesian
2.633 0.000 0.000 Tb
7.737 0.000 0.000 Tb
5.185 2.746 -0.326 Tb
0.000 0.482 2.107 Tb
5.185 0.482 2.165 Tb
2.633 5.492 0.000 Tb
2.552 0.000 4.271 Tb
0.000 5.010 2.107 Tb
5.185 5.010 2.165 Tb
0.000 2.746 4.597 Tb
5.185 -2.746 3.863 Pm
0.000 8.238 0.408 Pm
-2.592 2.746 2.136 Th
2.592 2.746 2.136 Th
```

---

# 11
This entry pairs a crystal structure of Tb3Pm8Th2 with its theoretical powder XRD pattern. Radiation: Cu Kα (weighted mean of Kα1 and Kα2). Structure: DFT lattice parameters and positions (GGA-PBE).

The 6 most intense peaks (10° ≤ 2θ ≤ 80°), in order of rising 2θ:
- 29.62 deg, d 3.016, I 26
- 30.10 deg, d 2.969, I 59
- 30.38 deg, d 2.942, I 35
- 31.41 deg, d 2.848, I 100
- 32.84 deg, d 2.727, I 52
- 54.29 deg, d 1.690, I 22

Structural model:
```
Tb3Pm8Th2
1.0
6.565 -5.937 0.000
6.565 5.937 0.000
-2.422 0.000 5.667
Tb Pm Th
3 8 2
Cartesian
0.000 0.000 0.000 Tb
5.354 2.904 2.833 Tb
5.354 -2.904 2.833 Tb
2.304 2.992 4.717 Pm
0.646 0.000 3.154 Pm
8.405 2.992 0.950 Pm
3.822 0.000 4.148 Pm
6.887 0.000 1.519 Pm
2.304 -2.992 4.717 Pm
10.062 0.000 2.513 Pm
8.405 -2.992 0.950 Pm
3.571 0.000 0.815 Th
7.137 0.000 4.851 Th
```

---

# 12
This entry pairs a crystal structure of Tb2Pm5Th3 with its theoretical powder XRD pattern. Radiation: Cu Kα (weighted mean of Kα1 and Kα2). Structure: DFT lattice parameters and positions (GGA-PBE).

The 6 most intense peaks (10° ≤ 2θ ≤ 80°), in order of rising 2θ:
- 30.34 deg, d 2.946, I 100
- 35.12 deg, d 2.555, I 34
- 35.28 deg, d 2.544, I 17
- 50.63 deg, d 1.803, I 24
- 60.06 deg, d 1.540, I 29
- 60.28 deg, d 1.535, I 15

Structural model:
```
Tb2Pm5Th3
1.0
5.717 -2.544 0.000
5.717 2.544 0.000
-0.007 0.000 11.424
Tb Pm Th
2 5 3
Cartesian
1.118 0.000 3.367 Tb
10.308 0.000 8.057 Tb
2.263 0.000 6.889 Pm
3.432 0.000 10.296 Pm
5.713 0.000 5.712 Pm
7.994 0.000 1.127 Pm
9.163 0.000 4.535 Pm
0.000 0.000 0.000 Th
4.598 0.000 2.262 Th
6.828 0.000 9.161 Th
```